PmBRh4: theoretical XRD peak list (Cu Kα), based on a GGA-PBE-relaxed structure.
Peak positions follow from Bragg's law for the DFT cell and can differ from measured ones.

Top 8 peaks for 5 to 70 degrees two-theta, by angle:
Position (°2θ)	Rel. int.
21.35	10
24.80	11
27.72	18
32.95	14
36.98	100
41.21	27
55.77	25
64.50	9

Crystal structure
```
PmBRh4
1.0
5.077 0.000 0.000
0.000 5.077 0.000
0.000 0.000 8.322
Pm B Rh
2 2 8
Direct
0.250 0.750 0.250
0.750 0.250 0.750
0.250 0.750 0.750
0.750 0.250 0.250
0.005 0.250 0.059
0.250 0.005 0.559
0.250 0.495 0.559
0.495 0.250 0.059
0.505 0.750 0.941
0.750 0.505 0.441
0.750 0.995 0.441
0.995 0.750 0.941
```

Tb6DyY3Sc2: theoretical XRD peak list (Cu Kα), based on a GGA-PBE-relaxed structure.
Peak positions follow from Bragg's law for the DFT cell and can differ from measured ones.

Top 8 peaks for 5 to 70 degrees two-theta, by angle:
Position (°2θ)	Rel. int.
15.52	14
31.16	100
31.33	32
36.18	66
51.98	23
52.21	22
61.86	14
61.96	27

Crystal structure
```
Tb6DyY3Sc2
1.0
3.048 -5.275 0.000
3.048 5.275 0.000
-2.024 0.000 11.422
Tb Dy Y Sc
6 1 3 2
Direct
0.082 0.418 0.756
0.246 0.246 0.244
0.418 0.082 0.756
0.582 0.918 0.244
0.754 0.754 0.756
0.918 0.582 0.244
0.500 0.500 0.000
0.000 0.000 0.500
0.333 0.667 0.500
0.667 0.333 0.500
0.167 0.833 0.000
0.833 0.167 0.000
```

Gd2TlV: theoretical XRD peak list (Cu Kα), based on a GGA-PBE-relaxed structure.
Peak positions follow from Bragg's law for the DFT cell and can differ from measured ones.

Top 8 peaks for 5 to 70 degrees two-theta, by angle:
Position (°2θ)	Rel. int.
8.96	18
31.71	100
33.02	15
36.41	19
38.22	56
51.89	26
62.10	15
65.04	21

Crystal structure
```
Gd2TlV
1.0
1.762 1.017 9.869
-1.762 1.017 9.869
0.000 -2.035 9.869
Gd Tl V
2 1 1
Direct
0.242 0.242 0.242
0.758 0.758 0.758
0.000 0.000 0.000
0.500 0.500 0.500
```

BiH2Pd5: theoretical XRD peak list (Cu Kα), based on a GGA-PBE-relaxed structure.
Peak positions follow from Bragg's law for the DFT cell and can differ from measured ones.

Top 8 peaks for 5 to 70 degrees two-theta, by angle:
Position (°2θ)	Rel. int.
13.32	9
33.01	24
36.39	35
39.03	100
40.73	71
51.60	9
59.82	11
62.96	13

Crystal structure
```
BiH2Pd5
1.0
1.546 -5.402 0.000
1.546 5.402 0.000
0.000 0.000 13.295
Bi H Pd
2 4 10
Direct
0.049 0.951 0.750
0.951 0.049 0.250
0.406 0.594 0.042
0.406 0.594 0.458
0.594 0.406 0.542
0.594 0.406 0.958
0.179 0.821 0.573
0.179 0.821 0.927
0.216 0.784 0.250
0.432 0.568 0.596
0.432 0.568 0.904
0.568 0.432 0.096
0.568 0.432 0.404
0.784 0.216 0.750
0.821 0.179 0.073
0.821 0.179 0.427
```

Pu2FeTcGe6: theoretical XRD peak list (Cu Kα), based on a GGA-PBE-relaxed structure.
Peak positions follow from Bragg's law for the DFT cell and can differ from measured ones.

Top 8 peaks for 5 to 70 degrees two-theta, by angle:
Position (°2θ)	Rel. int.
20.95	31
29.16	75
30.41	100
36.18	87
38.34	66
42.64	46
48.85	29
60.46	32

Crystal structure
```
Pu2FeTcGe6
1.0
3.063 1.768 11.763
-3.063 1.768 11.763
0.000 -3.536 11.763
Pu Fe Tc Ge
4 2 2 12
Direct
0.112 0.112 0.112
0.294 0.294 0.294
0.706 0.706 0.706
0.888 0.888 0.888
0.427 0.427 0.427
0.573 0.573 0.573
0.000 0.000 0.000
0.500 0.500 0.500
0.068 0.656 0.656
0.232 0.232 0.658
0.232 0.658 0.232
0.342 0.768 0.768
0.344 0.344 0.932
0.344 0.932 0.344
0.656 0.068 0.656
0.656 0.656 0.068
0.658 0.232 0.232
0.768 0.342 0.768
0.768 0.768 0.342
0.932 0.344 0.344
```

Na5B7C3: theoretical XRD peak list (Cu Kα), based on a GGA-PBE-relaxed structure.
Peak positions follow from Bragg's law for the DFT cell and can differ from measured ones.

Top 8 peaks for 5 to 70 degrees two-theta, by angle:
Position (°2θ)	Rel. int.
34.74	12
36.56	16
40.73	49
41.90	39
42.32	100
56.80	9
63.47	18
66.96	8

Crystal structure
```
Na5B7C3
1.0
6.987 -2.582 0.000
6.987 2.582 0.000
-2.794 0.000 8.625
Na B C
10 14 6
Direct
0.000 0.500 0.000
0.099 0.600 0.499
0.197 0.703 0.999
0.297 0.803 0.501
0.400 0.901 0.001
0.500 0.000 0.500
0.600 0.099 0.999
0.703 0.197 0.499
0.803 0.297 0.001
0.901 0.400 0.501
0.031 0.171 0.750
0.171 0.031 0.250
0.199 0.395 0.750
0.303 0.503 0.249
0.383 0.617 0.750
0.395 0.199 0.250
0.497 0.697 0.251
0.503 0.303 0.749
0.605 0.801 0.750
0.617 0.383 0.250
0.697 0.497 0.751
0.801 0.605 0.250
0.829 0.969 0.750
0.969 0.829 0.250
0.089 0.911 0.750
0.113 0.291 0.250
0.291 0.113 0.750
0.709 0.887 0.250
0.887 0.709 0.750
0.911 0.089 0.250
```

BaCdSeF2: theoretical XRD peak list (Cu Kα), based on a GGA-PBE-relaxed structure.
Peak positions follow from Bragg's law for the DFT cell and can differ from measured ones.

Top 8 peaks for 5 to 70 degrees two-theta, by angle:
Position (°2θ)	Rel. int.
25.52	64
27.02	100
34.09	30
38.59	49
44.03	42
46.84	31
52.43	30
62.99	21

Crystal structure
```
BaCdSeF2
1.0
-3.299 3.299 5.260
3.299 -3.299 5.260
3.299 3.299 -5.260
Ba Cd Se F
2 2 2 4
Direct
0.000 0.500 0.500
0.500 0.000 0.500
0.212 0.212 0.000
0.712 0.712 0.000
0.458 0.458 0.000
0.958 0.958 0.000
0.018 0.518 0.145
0.373 0.873 0.855
0.518 0.373 0.500
0.873 0.018 0.500
```

CaTl2ZnF6: theoretical XRD peak list (Cu Kα), based on a GGA-PBE-relaxed structure.
Peak positions follow from Bragg's law for the DFT cell and can differ from measured ones.

Top 8 peaks for 5 to 70 degrees two-theta, by angle:
Position (°2θ)	Rel. int.
20.13	32
28.61	54
29.06	100
35.61	42
40.91	37
50.96	43
51.79	18
60.24	20

Crystal structure
```
CaTl2ZnF6
1.0
4.412 0.000 0.000
0.000 4.412 0.000
0.000 0.000 8.563
Ca Tl Zn F
1 2 1 6
Direct
0.000 0.000 0.000
0.500 0.500 0.267
0.500 0.500 0.733
0.000 0.000 0.500
0.000 0.000 0.270
0.000 0.000 0.730
0.000 0.500 0.000
0.000 0.500 0.500
0.500 0.000 0.000
0.500 0.000 0.500
```

Pr5NdSc2: theoretical XRD peak list (Cu Kα), based on a GGA-PBE-relaxed structure.
Peak positions follow from Bragg's law for the DFT cell and can differ from measured ones.

Top 8 peaks for 5 to 70 degrees two-theta, by angle:
Position (°2θ)	Rel. int.
20.79	20
30.39	100
31.36	95
32.11	100
42.36	14
46.04	38
57.40	28
61.05	28

Crystal structure
```
Pr5NdSc2
1.0
-1.793 5.581 6.638
1.793 -5.581 6.638
1.793 5.581 -6.638
Pr Nd Sc
5 1 2
Direct
0.000 0.000 0.000
0.095 0.366 0.730
0.364 0.634 0.730
0.636 0.366 0.270
0.905 0.634 0.270
0.500 0.000 0.500
0.259 0.259 0.000
0.741 0.741 0.000
```

La3ZnCuRh2PbO12: theoretical XRD peak list (Cu Kα), based on a GGA-PBE-relaxed structure.
Peak positions follow from Bragg's law for the DFT cell and can differ from measured ones.

Top 8 peaks for 5 to 70 degrees two-theta, by angle:
Position (°2θ)	Rel. int.
31.12	81
31.55	100
31.68	99
31.83	95
32.01	95
32.15	96
45.35	80
45.73	53

Crystal structure
```
La3ZnCuRh2PbO12
1.0
5.568 0.000 0.000
-0.010 5.749 0.000
-0.054 -0.107 7.936
La Zn Cu Rh Pb O
3 1 1 2 1 12
Direct
0.000 0.000 0.000
0.023 0.114 0.498
0.526 0.503 0.004
0.512 0.057 0.751
0.010 0.562 0.253
0.005 0.557 0.749
0.515 0.061 0.253
0.491 0.618 0.510
0.108 0.583 0.997
0.198 0.848 0.700
0.225 0.853 0.301
0.304 0.365 0.695
0.321 0.355 0.310
0.417 0.092 0.003
0.600 0.010 0.496
0.708 0.749 0.798
0.716 0.777 0.193
0.815 0.259 0.205
0.817 0.258 0.799
0.895 0.528 0.507
```

CsSrF3: theoretical XRD peak list (Cu Kα), based on a GGA-PBE-relaxed structure.
Peak positions follow from Bragg's law for the DFT cell and can differ from measured ones.

Top 8 peaks for 5 to 70 degrees two-theta, by angle:
Position (°2θ)	Rel. int.
25.36	29
26.15	100
27.58	33
36.81	26
37.81	25
45.20	26
47.91	17
53.80	17

Crystal structure
```
CsSrF3
1.0
4.884 -7.023 0.000
4.884 7.023 0.000
0.000 0.000 6.469
Cs Sr F
4 4 12
Direct
0.096 0.404 0.250
0.404 0.096 0.750
0.596 0.904 0.250
0.904 0.596 0.750
0.120 0.880 0.305
0.380 0.620 0.805
0.620 0.380 0.195
0.880 0.120 0.695
0.051 0.949 0.679
0.129 0.371 0.750
0.237 0.763 0.020
0.263 0.737 0.520
0.371 0.129 0.250
0.449 0.551 0.179
0.551 0.449 0.821
0.629 0.871 0.750
0.737 0.263 0.480
0.763 0.237 0.980
0.871 0.629 0.250
0.949 0.051 0.321
```

Ho3Mg7Ag2: theoretical XRD peak list (Cu Kα), based on a GGA-PBE-relaxed structure.
Peak positions follow from Bragg's law for the DFT cell and can differ from measured ones.

Top 8 peaks for 5 to 70 degrees two-theta, by angle:
Position (°2θ)	Rel. int.
17.62	19
18.73	41
28.06	31
30.27	79
35.83	100
53.77	16
57.45	25
62.95	16

Crystal structure
```
Ho3Mg7Ag2
1.0
2.953 1.705 9.476
-2.953 1.705 9.476
0.000 -3.410 9.476
Ho Mg Ag
3 7 2
Direct
0.000 0.000 0.000
0.145 0.145 0.145
0.855 0.855 0.855
0.076 0.581 0.581
0.419 0.419 0.924
0.419 0.924 0.419
0.500 0.500 0.500
0.581 0.076 0.581
0.581 0.581 0.076
0.924 0.419 0.419
0.334 0.334 0.334
0.666 0.666 0.666
```